No. 1
Diffraction record for SrH3C3O7. The powder X-ray diffraction pattern is simulated, not measured: it uses a cell relaxed with GGA-PBE and Cu Ka.
Lines closer than 0.1° are merged.

Atomic structure:
a b c (Å): 5.7800 17.1517 8.0830
angles (deg): 90.00 127.34 90.00
Sites, in units of the cell vectors:
Sr (0.1409, 0.0812, 0.3784)
Sr (0.1409, 0.4188, 0.8784)
Sr (0.8591, 0.5812, 0.1216)
Sr (0.8591, 0.9188, 0.6216)
H (0.1805, 0.6040, 0.8695)
H (0.1805, 0.8960, 0.3695)
H (0.2534, 0.5682, 0.7192)
H (0.2534, 0.9318, 0.2192)
H (0.3597, 0.7457, 0.3536)
H (0.3597, 0.7543, 0.8536)
H (0.6403, 0.2457, 0.1464)
H (0.6403, 0.2543, 0.6464)
H (0.7466, 0.0682, 0.7808)
H (0.7466, 0.4318, 0.2808)
H (0.8195, 0.1040, 0.6305)
H (0.8195, 0.3960, 0.1305)
C (0.0517, 0.2372, 0.6358)
C (0.0517, 0.2628, 0.1358)
C (0.3094, 0.2219, 0.1574)
C (0.3094, 0.2781, 0.6574)
C (0.4903, 0.5180, 0.5849)
C (0.4903, 0.9820, 0.0849)
C (0.5097, 0.0180, 0.9151)
C (0.5097, 0.4820, 0.4151)
C (0.6906, 0.7219, 0.3426)
C (0.6906, 0.7781, 0.8426)
C (0.9483, 0.7372, 0.8642)
C (0.9483, 0.7628, 0.3642)
O (0.0026, 0.1669, 0.5806)
O (0.0026, 0.3331, 0.0806)
O (0.0845, 0.7199, 0.3205)
O (0.0845, 0.7801, 0.8205)
O (0.2583, 0.5548, 0.5180)
O (0.2583, 0.9452, 0.0180)
O (0.2922, 0.5631, 0.8582)
O (0.2922, 0.9369, 0.3582)
O (0.2944, 0.0076, 0.7263)
O (0.2944, 0.4924, 0.2263)
O (0.3644, 0.1525, 0.2046)
O (0.3644, 0.3475, 0.7046)
O (0.4550, 0.2303, 0.6227)
O (0.4550, 0.2697, 0.1227)
O (0.5450, 0.7303, 0.8773)
O (0.5450, 0.7697, 0.3773)
O (0.6356, 0.6525, 0.2954)
O (0.6356, 0.8475, 0.7954)
O (0.7056, 0.5076, 0.7737)
O (0.7056, 0.9924, 0.2737)
O (0.7078, 0.0631, 0.6418)
O (0.7078, 0.4369, 0.1418)
O (0.7417, 0.0548, 0.9820)
O (0.7417, 0.4452, 0.4820)
O (0.9155, 0.2199, 0.1795)
O (0.9155, 0.2801, 0.6795)
O (0.9974, 0.6669, 0.9194)
O (0.9974, 0.8331, 0.4194)

Most intense lines, 2θ from 10° to 80°, by angle:
2theta	intensity
14.7	82.3
17.2	64.3
18.6	100.0
26.0	98.9
30.4	76.3
31.3	56.1
31.9	91.1
34.2	58.3

---

No. 2
Diffraction record for TbH3C3O6. The powder X-ray diffraction pattern is simulated, not measured: it uses a cell relaxed with GGA-PBE and Cu Ka.
Lines closer than 0.1° are merged.

Atomic structure:
a b c (Å): 6.2134 6.2134 6.2134
angles (deg): 115.52 115.52 115.52
Sites, in units of the cell vectors:
Tb (0.0000, 0.0000, 0.0000)
H (0.3650, 0.3650, 0.8497)
H (0.3650, 0.8497, 0.3650)
H (0.8497, 0.3650, 0.3650)
C (0.1490, 0.6102, 0.6102)
C (0.6102, 0.1490, 0.6102)
C (0.6102, 0.6102, 0.1490)
O (0.2811, 0.8864, 0.8864)
O (0.3391, 0.5919, 0.5919)
O (0.5919, 0.3391, 0.5919)
O (0.5919, 0.5919, 0.3391)
O (0.8864, 0.2811, 0.8864)
O (0.8864, 0.8864, 0.2811)

Most intense lines, 2θ from 10° to 80°, by angle:
2theta	intensity
16.9	100.0
24.3	31.4
29.7	31.5
34.1	31.5
34.4	39.7
42.3	26.4
46.5	14.8
49.2	19.4

---

No. 3
Diffraction record for UH3CO6. The powder X-ray diffraction pattern is simulated, not measured: it uses a cell relaxed with GGA-PBE and Cu Ka.
Lines closer than 0.1° are merged.

Atomic structure:
a b c (Å): 5.6033 6.2514 7.8231
angles (deg): 85.23 89.68 81.36
Sites, in units of the cell vectors:
U (0.1334, 0.1536, 0.2986)
U (0.8666, 0.8464, 0.7014)
H (0.0435, 0.6412, 0.3196)
H (0.1300, 0.3958, 0.8405)
H (0.2968, 0.7576, 0.4984)
H (0.7032, 0.2424, 0.5016)
H (0.8700, 0.6042, 0.1595)
H (0.9565, 0.3588, 0.6804)
C (0.4693, 0.1104, 0.9490)
C (0.5307, 0.8896, 0.0510)
O (0.0112, 0.4689, 0.7524)
O (0.1185, 0.9029, 0.8235)
O (0.1270, 0.8065, 0.4630)
O (0.3106, 0.2485, 0.0133)
O (0.3772, 0.2297, 0.4209)
O (0.4209, 0.8626, 0.1900)
O (0.5791, 0.1374, 0.8100)
O (0.6228, 0.7703, 0.5791)
O (0.6894, 0.7515, 0.9867)
O (0.8730, 0.1935, 0.5370)
O (0.8815, 0.0971, 0.1765)
O (0.9888, 0.5311, 0.2476)

Most intense lines, 2θ from 10° to 80°, by angle:
2theta	intensity
14.4	92.4
16.0	68.1
17.6	95.8
19.7	100.0
22.4	72.5
23.2	53.1
23.5	52.0
27.9	59.8

---

No. 4
Diffraction record for YH2C2O6. The powder X-ray diffraction pattern is simulated, not measured: it uses a cell relaxed with GGA-PBE and Cu Ka.
Lines closer than 0.1° are merged.

Atomic structure:
a b c (Å): 8.5403 8.5403 9.6322
angles (deg): 90.00 90.00 54.74
Sites, in units of the cell vectors:
Y (0.2074, 0.2074, 0.0000)
Y (0.2074, 0.2074, 0.5000)
Y (0.7926, 0.7926, 0.0000)
Y (0.7926, 0.7926, 0.5000)
H (0.2946, 0.5042, 0.5037)
H (0.2946, 0.5042, 0.9963)
H (0.4958, 0.7054, 0.5037)
H (0.4958, 0.7054, 0.9963)
H (0.5042, 0.2946, 0.0037)
H (0.5042, 0.2946, 0.4963)
H (0.7054, 0.4958, 0.0037)
H (0.7054, 0.4958, 0.4963)
C (0.0322, 0.4179, 0.7500)
C (0.0986, 0.9014, 0.5058)
C (0.0986, 0.9014, 0.9942)
C (0.4179, 0.0322, 0.2500)
C (0.5821, 0.9678, 0.7500)
C (0.9014, 0.0986, 0.0058)
C (0.9014, 0.0986, 0.4942)
C (0.9678, 0.5821, 0.2500)
O (0.0071, 0.4984, 0.1312)
O (0.0071, 0.4984, 0.3688)
O (0.0965, 0.7545, 0.5100)
O (0.0965, 0.7545, 0.9900)
O (0.1286, 0.2312, 0.7500)
O (0.2312, 0.1286, 0.2500)
O (0.2455, 0.9035, 0.5100)
O (0.2455, 0.9035, 0.9900)
O (0.3632, 0.3632, 0.0000)
O (0.3632, 0.3632, 0.5000)
O (0.4984, 0.0071, 0.6312)
O (0.4984, 0.0071, 0.8688)
O (0.5016, 0.9929, 0.1312)
O (0.5016, 0.9929, 0.3688)
O (0.6368, 0.6368, 0.0000)
O (0.6368, 0.6368, 0.5000)
O (0.7545, 0.0965, 0.0100)
O (0.7545, 0.0965, 0.4900)
O (0.7688, 0.8714, 0.7500)
O (0.8714, 0.7688, 0.2500)
O (0.9035, 0.2455, 0.0100)
O (0.9035, 0.2455, 0.4900)
O (0.9929, 0.5016, 0.6312)
O (0.9929, 0.5016, 0.8688)

Most intense lines, 2θ from 10° to 80°, by angle:
2theta	intensity
11.7	100.0
12.7	28.8
18.4	52.6
20.9	14.1
29.3	16.6
31.7	46.3
45.8	23.2
49.7	20.9

---

No. 5
Diffraction record for YHCO4. The powder X-ray diffraction pattern is simulated, not measured: it uses a cell relaxed with GGA-PBE and Cu Ka.
Lines closer than 0.1° are merged.

Atomic structure:
a b c (Å): 4.8430 7.0728 8.7594
angles (deg): 90.00 90.00 90.00
Sites, in units of the cell vectors:
Y (0.0245, 0.1237, 0.1663)
Y (0.4755, 0.8763, 0.6663)
Y (0.5245, 0.3763, 0.8337)
Y (0.9755, 0.6237, 0.3337)
H (0.1252, 0.2616, 0.4609)
H (0.3748, 0.7384, 0.9609)
H (0.6252, 0.2384, 0.5391)
H (0.8748, 0.7616, 0.0391)
C (0.0107, 0.0470, 0.8355)
C (0.4893, 0.9530, 0.3355)
C (0.5107, 0.4530, 0.1645)
C (0.9893, 0.5470, 0.6645)
O (0.0000, 0.3043, 0.3801)
O (0.0000, 0.8043, 0.1199)
O (0.0342, 0.4439, 0.7831)
O (0.1881, 0.6175, 0.5834)
O (0.2362, 0.9257, 0.3793)
O (0.2638, 0.0743, 0.8793)
O (0.3119, 0.3825, 0.0834)
O (0.4658, 0.5561, 0.2831)
O (0.5000, 0.1957, 0.6199)
O (0.5000, 0.6957, 0.8801)
O (0.5342, 0.0561, 0.2169)
O (0.6881, 0.8825, 0.4166)
O (0.7362, 0.5743, 0.6207)
O (0.7638, 0.4257, 0.1207)
O (0.8119, 0.1175, 0.9166)
O (0.9658, 0.9439, 0.7169)

Most intense lines, 2θ from 10° to 80°, by angle:
2theta	intensity
16.1	71.9
20.3	45.2
21.0	100.0
24.5	69.9
27.2	48.4
31.3	62.3
38.2	52.6
46.6	47.4

---

No. 6
Diffraction record for ZnH4C2O6. The powder X-ray diffraction pattern is simulated, not measured: it uses a cell relaxed with GGA-PBE and Cu Ka.
Lines closer than 0.1° are merged.

Atomic structure:
a b c (Å): 6.9152 6.9152 9.8797
angles (deg): 125.21 125.21 47.06
Sites, in units of the cell vectors:
Zn (0.0852, 0.9148, 0.7500)
Zn (0.9148, 0.0852, 0.2500)
H (0.0025, 0.2990, 0.1435)
H (0.1451, 0.3643, 0.3522)
H (0.2990, 0.0025, 0.6435)
H (0.3643, 0.1451, 0.8522)
H (0.6357, 0.8549, 0.1478)
H (0.7010, 0.9975, 0.3565)
H (0.8549, 0.6357, 0.6478)
H (0.9975, 0.7010, 0.8565)
C (0.3624, 0.5348, 0.1483)
C (0.4652, 0.6376, 0.3517)
C (0.5348, 0.3624, 0.6483)
C (0.6376, 0.4652, 0.8517)
O (0.0938, 0.2331, 0.2430)
O (0.1212, 0.7008, 0.0727)
O (0.2331, 0.0938, 0.7430)
O (0.2913, 0.5275, 0.5725)
O (0.2992, 0.8788, 0.4273)
O (0.4725, 0.7087, 0.9275)
O (0.5275, 0.2913, 0.0725)
O (0.7008, 0.1212, 0.5727)
O (0.7087, 0.4725, 0.4275)
O (0.7669, 0.9062, 0.2570)
O (0.8788, 0.2992, 0.9273)
O (0.9062, 0.7669, 0.7570)

Most intense lines, 2θ from 10° to 80°, by angle:
2theta	intensity
18.0	100.0
18.3	94.7
18.4	45.6
23.2	28.0
24.8	40.0
28.2	74.1
34.0	35.9
34.5	28.5